Diffraction record for Li2VP2O7. The XRD peak list is simulated, not measured: it uses a crystal structure in Alexandria, relaxed with GGA+U and Cu Kα.
Kinematic intensities with the Lorentz-polarization factor, no thermal factor.

Main lines, sorted by position (2θ from 10° to 80°):
- 13.3°, rel. 47.7, (0 0 2)
- 20.5°, rel. 15.5, (2 0 0)
- 21.9°, rel. 100.0, (1 1 1)
- 26.8°, rel. 19.0, (0 0 4)
- 30.1°, rel. 39.7, (1 1 3)
- 34.9°, rel. 23.8, (3 1 -1)
- 37.5°, rel. 21.7, (1 1 -5)
- 40.6°, rel. 18.7, (3 1 -4)
- 62.7°, rel. 18.0, (6 0 -2)
- 67.1°, rel. 10.8, (0 2 8)

Crystal structure
a b c (Å): 8.8949 5.1355 13.6156
angles (deg): 90.00 102.58 90.00
Space group C2/c (No. 15)
Asymmetric unit:
Li 0.1183 0.2504 0.1043 [8 per cell]
V 0.2500 0.2500 0.5000 [4 per cell]
P 0.0399 0.2502 0.8700 [8 per cell]
O 0.0000 0.2496 0.7500 [4 per cell]
O 0.0597 0.0353 0.4028 [8 per cell]
O 0.0971 0.3791 0.5977 [8 per cell]
O 0.1891 0.4076 0.9023 [8 per cell]